Entry 1:
Starting from a cell relaxed with PBE, the PXRD pattern of Li2MoRu was computed for λ = 1.5418 Å (Cu Kα).

Cell lengths 3.1001, 4.0082, 9.3475 Å; angles 90.00, 90.00, 90.00 degrees
Sites, in units of the cell vectors:
Li  0.0000  0.0000  0.2434
Li  0.0000  0.0000  0.7566
Li  0.5000  0.5000  0.2566
Li  0.5000  0.5000  0.7434
Mo  0.0000  0.5000  0.0000
Mo  0.5000  0.0000  0.5000
Ru  0.0000  0.5000  0.5000
Ru  0.5000  0.0000  0.0000

Largest 10 diffraction maxima, in order of rising 2θ, 10° ≤ 2θ ≤ 90°:
2θ/deg, d [Å], Rel. int., (hkl)
19.0, 4.674, 100, 0 0 2
36.6, 2.452, 37, 1 1 0
38.5, 2.337, 20, 0 0 4
41.6, 2.171, 63, 1 1 2
45.2, 2.004, 12, 0 2 0
49.5, 1.842, 15, 0 2 2
54.2, 1.692, 23, 1 1 4
60.9, 1.521, 10, 0 2 4
71.8, 1.315, 12, 1 1 6
81.1, 1.186, 16, 1 3 2

***

Entry 2:
Starting from a cell relaxed with PBE, the PXRD pattern of Pm3SmTm4 was computed for λ = 1.5418 Å (Cu Kα).

Cell lengths 6.1833, 3.5739, 11.7316 Å; angles 90.00, 100.25, 90.00 degrees
Sites, in units of the cell vectors:
Pm  0.0000  0.0000  0.0000
Pm  0.0000  0.5000  0.5000
Pm  0.5000  0.0000  0.5000
Sm  0.5000  0.5000  0.0000
Tm  0.2502  0.0000  0.7502
Tm  0.2500  0.5000  0.2497
Tm  0.7498  0.0000  0.2498
Tm  0.7500  0.5000  0.7503

Largest 10 diffraction maxima, in order of rising 2θ, 10° ≤ 2θ ≤ 90°:
2θ/deg, d [Å], Rel. int., (hkl)
30.7, 2.913, 100, 1 1 1
31.0, 2.886, 33, 0 0 4
35.7, 2.517, 67, 2 0 2
51.1, 1.786, 24, 0 2 0
51.5, 1.774, 24, 1 1 5
60.8, 1.523, 14, 4 0 0
61.0, 1.520, 19, 0 2 4
61.1, 1.517, 9, 3 1 3
63.9, 1.457, 12, 2 2 2
83.4, 1.159, 12, 4 2 0

***

Entry 3:
Starting from a cell relaxed with PBE, the PXRD pattern of Zr2CrP was computed for λ = 1.5418 Å (Cu Kα).

Cell lengths 3.8534, 3.6064, 10.0193 Å; angles 90.00, 90.00, 90.00 degrees
Sites, in units of the cell vectors:
Zr  0.0000  0.0000  0.0000
Zr  0.0000  0.5000  0.5000
Zr  0.5000  0.0000  0.2863
Zr  0.5000  0.5000  0.7863
Cr  0.5000  0.0000  0.5647
Cr  0.5000  0.5000  0.0647
P  0.0000  0.0000  0.7173
P  0.0000  0.5000  0.2173

Largest 10 diffraction maxima, in order of rising 2θ, 10° ≤ 2θ ≤ 90°:
2θ/deg, d [Å], Rel. int., (hkl)
29.2, 3.054, 30, 1 0 2
35.2, 2.547, 100, 1 1 1
35.9, 2.505, 27, 0 0 4
36.7, 2.450, 42, 0 1 3
43.1, 2.100, 21, 1 0 4
43.8, 2.068, 41, 1 1 3
47.2, 1.927, 22, 2 0 0
50.6, 1.803, 18, 0 2 0
61.2, 1.515, 18, 2 1 3
89.5, 1.095, 13, 2 1 7

***

Entry 4:
Starting from a cell relaxed with PBE, the PXRD pattern of CdGe2Br2 was computed for λ = 1.5418 Å (Cu Kα).

Cell lengths 7.7674, 7.7674, 4.7153 Å; angles 90.00, 90.00, 90.00 degrees
Sites, in units of the cell vectors:
Cd  0.0000  0.0000  0.0000
Cd  0.5000  0.5000  0.0000
Ge  0.2022  0.2978  0.0000
Ge  0.2978  0.7978  0.0000
Ge  0.7022  0.2022  0.0000
Ge  0.7978  0.7022  0.0000
Br  0.1719  0.6719  0.5000
Br  0.3281  0.1719  0.5000
Br  0.6719  0.8281  0.5000
Br  0.8281  0.3281  0.5000

Largest 10 diffraction maxima, in order of rising 2θ, 10° ≤ 2θ ≤ 90°:
2θ/deg, d [Å], Rel. int., (hkl)
24.9, 3.578, 45, 1 1 1
32.0, 2.797, 100, 2 1 1
32.6, 2.746, 42, 2 2 0
36.6, 2.456, 44, 3 1 0
37.9, 2.373, 22, 2 2 1
38.2, 2.358, 35, 0 0 2
50.9, 1.796, 17, 4 0 1
51.1, 1.789, 23, 2 2 2
52.3, 1.749, 43, 4 1 1
53.9, 1.701, 28, 3 1 2